Theoretical powder XRD pattern
Compound: H2Cl2F
Radiation: Cu Ka
Structure: a GGA-PBE-relaxed structure
No peak broadening, texture or thermal motion is included.

Crystal structure
```
H2Cl2F
1.0
5.329 0.000 0.000
0.000 2.702 0.000
-1.260 0.000 6.351
H Cl F
2 2 1
direct
0.000 0.000 0.000
0.278 0.500 0.760
0.448 0.500 0.636
0.813 0.000 0.227
0.090 0.000 0.882
```

The 10 most intense peaks (10 to 90 degrees two-theta), by intensity:
2θ (°)  Rel. int.
24.06  1000
29.95  379
37.47  360
36.12  325
34.47  282
19.79  244
28.10  159
38.91  140
52.71  124
53.05  101

---

Theoretical powder XRD pattern
Compound: Pr4CO3
Radiation: Cu Ka
Structure: a GGA-PBE-relaxed structure
No peak broadening, texture or thermal motion is included.

Crystal structure
```
Pr4CO3
1.0
6.341 0.000 0.000
0.000 7.364 0.000
-2.121 0.000 5.985
Pr C O
8 2 6
direct
0.247 0.121 0.000
0.247 0.879 0.500
0.248 0.371 0.496
0.248 0.629 0.996
0.752 0.371 0.004
0.752 0.629 0.504
0.753 0.121 0.500
0.753 0.879 0.000
0.000 0.131 0.250
0.000 0.869 0.750
0.000 0.379 0.750
0.000 0.621 0.250
0.500 0.132 0.750
0.500 0.378 0.250
0.500 0.622 0.750
0.500 0.868 0.250
```

The 10 most intense peaks (10 to 90 degrees two-theta), by intensity:
2θ (°)  Rel. int.
34.57  1000
29.80  953
49.71  463
59.10  337
29.90  315
58.91  194
61.82  117
49.51  117
62.08  116
49.81  115

---

Q: Number 1 is which compound?
A: H2Cl2F